Entry 1:
# Pr2YHg3
Calculated XRD peak list, Cu Kα (weighted mean of Kα1 and Kα2). Input: DFT lattice parameters and positions (GGA-PBE).

Principal peaks in the range 10 to 90 degrees two-theta, low angle first:
| 2theta | I (rel.) |
| --- | --- |
| 33.09 | 100.0 |
| 33.31 | 50.7 |
| 47.16 | 8.5 |
| 47.82 | 18.6 |
| 58.96 | 17.6 |
| 59.39 | 37.8 |
| 69.43 | 10.8 |
| 78.60 | 6.6 |
| 79.59 | 8.3 |
| 79.71 | 8.5 |

Crystal structure
```
Pr2YHg3
1.0
3.804 0.000 0.000
0.000 3.804 0.000
0.000 0.000 11.562
Pr Y Hg
2 1 3
Cartesian
0.000 0.000 1.975
0.000 0.000 9.587
0.000 0.000 5.781
1.902 1.902 0.000
1.902 1.902 4.018
1.902 1.902 7.544
```

=====

Entry 2:
# Cs2TaI4Cl2
Calculated XRD peak list, Cu Kα (weighted mean of Kα1 and Kα2). Input: DFT lattice parameters and positions (GGA-PBE).

Principal peaks in the range 10 to 90 degrees two-theta, low angle first:
| 2theta | I (rel.) |
| --- | --- |
| 12.84 | 30.9 |
| 13.05 | 23.3 |
| 17.27 | 46.9 |
| 22.33 | 28.7 |
| 25.84 | 29.6 |
| 27.36 | 53.2 |
| 28.98 | 100.0 |
| 34.58 | 29.7 |
| 45.46 | 30.1 |
| 45.58 | 23.2 |

Crystal structure
```
Cs2TaI4Cl2
1.0
6.844 -4.189 0.000
6.844 4.189 0.000
-0.910 0.000 6.895
Cs Ta I Cl
2 1 4 2
Cartesian
1.830 0.000 1.946
10.949 0.000 4.949
6.389 0.000 3.448
5.264 2.016 1.773
7.515 2.016 5.123
5.264 -2.016 1.773
7.515 -2.016 5.123
4.422 0.000 4.754
8.357 0.000 2.142
```

=====

Entry 3:
# AsClF8
Calculated XRD peak list, Cu Kα (weighted mean of Kα1 and Kα2). Input: DFT lattice parameters and positions (GGA-PBE).

Principal peaks in the range 10 to 90 degrees two-theta, low angle first:
| 2theta | I (rel.) |
| --- | --- |
| 15.94 | 76.1 |
| 16.20 | 21.6 |
| 18.35 | 13.5 |
| 20.99 | 100.0 |
| 22.42 | 30.8 |
| 22.82 | 66.8 |
| 23.55 | 15.8 |
| 27.40 | 55.6 |
| 29.12 | 36.9 |
| 49.23 | 25.9 |

Crystal structure
```
AsClF8
1.0
4.183 -3.966 0.000
4.183 3.966 0.000
-3.772 0.000 9.672
As Cl F
2 2 16
Cartesian
0.000 0.000 0.000
-1.886 0.000 4.836
1.354 1.382 7.254
3.240 -1.382 2.418
0.090 2.940 8.183
2.396 2.545 3.823
-0.155 0.257 4.668
4.083 2.545 1.013
-2.041 -0.257 9.504
2.617 2.940 6.325
0.441 0.300 8.034
2.327 -0.300 3.198
2.266 0.300 6.475
4.152 -0.300 1.638
1.976 -2.940 3.347
6.635 0.257 0.168
0.510 -2.545 8.659
4.749 -0.257 5.004
2.197 -2.545 5.849
4.503 -2.940 1.489
```

=====

Entry 4:
# TmB3N3
Calculated XRD peak list, Cu Kα (weighted mean of Kα1 and Kα2). Input: DFT lattice parameters and positions (GGA-PBE).

Principal peaks in the range 10 to 90 degrees two-theta, low angle first:
| 2theta | I (rel.) |
| --- | --- |
| 26.38 | 100.0 |
| 37.65 | 34.1 |
| 46.55 | 73.4 |
| 54.30 | 15.1 |
| 61.35 | 21.2 |
| 67.95 | 3.3 |
| 74.26 | 35.8 |
| 80.38 | 5.0 |
| 86.38 | 12.9 |

Crystal structure
```
TmB3N3
1.0
4.779 0.000 0.000
0.000 4.779 0.000
0.000 0.000 4.779
Tm B N
2 6 6
Cartesian
0.000 0.000 0.000
2.389 2.389 2.389
0.000 1.195 2.389
0.000 3.584 2.389
1.195 2.389 0.000
2.389 0.000 1.195
2.389 0.000 3.584
3.584 2.389 0.000
0.000 2.389 1.195
0.000 2.389 3.584
1.195 0.000 2.389
2.389 1.195 0.000
2.389 3.584 0.000
3.584 0.000 2.389
```

=====

Entry 5:
# La2Dy5Tl4
Calculated XRD peak list, Cu Kα (weighted mean of Kα1 and Kα2). Input: DFT lattice parameters and positions (GGA-PBE).

Principal peaks in the range 10 to 90 degrees two-theta, low angle first:
| 2theta | I (rel.) |
| --- | --- |
| 28.84 | 50.6 |
| 29.09 | 22.3 |
| 30.37 | 78.0 |
| 33.41 | 18.0 |
| 34.73 | 18.1 |
| 34.93 | 100.0 |
| 35.42 | 39.9 |
| 51.02 | 18.6 |
| 53.79 | 28.8 |
| 59.59 | 35.1 |

Crystal structure
```
La2Dy5Tl4
1.0
-1.790 5.383 9.209
1.790 -5.383 9.209
1.790 5.383 -9.209
La Dy Tl
2 5 4
Cartesian
0.000 0.000 3.248
0.000 0.000 15.171
1.790 0.000 0.000
1.790 -1.865 5.842
1.790 1.865 5.842
0.000 3.517 3.367
0.000 7.248 3.367
0.000 2.706 0.000
0.000 0.000 7.746
0.000 0.000 10.673
0.000 8.059 0.000
```

=====

Entry 6:
# Zn3Cu4Ni2
Calculated XRD peak list, Cu Kα (weighted mean of Kα1 and Kα2). Input: DFT lattice parameters and positions (GGA-PBE).

Principal peaks in the range 10 to 90 degrees two-theta, low angle first:
| 2theta | I (rel.) |
| --- | --- |
| 40.19 | 21.0 |
| 40.33 | 24.6 |
| 40.57 | 24.6 |
| 42.52 | 80.5 |
| 45.26 | 49.1 |
| 45.49 | 48.0 |
| 45.72 | 100.0 |
| 46.43 | 45.4 |
| 46.62 | 44.6 |
| 87.39 | 17.4 |

Crystal structure
```
Zn3Cu4Ni2
1.0
4.449 0.000 0.000
0.103 6.765 0.000
2.082 2.312 7.336
Zn Cu Ni
6 8 4
Cartesian
0.789 3.657 1.595
1.538 6.093 0.835
2.962 6.744 4.087
3.672 2.334 3.249
5.097 2.985 6.501
5.845 5.421 5.741
1.434 3.332 4.064
2.868 4.010 7.328
2.852 1.962 5.701
3.632 4.370 4.894
3.003 4.707 2.442
3.783 7.116 1.635
3.766 5.068 0.007
5.200 5.745 3.271
1.460 1.328 2.434
3.651 6.385 6.539
2.984 2.692 0.796
5.174 7.749 4.902
```

=====

Entry 7:
# TmZrH
Calculated XRD peak list, Cu Kα (weighted mean of Kα1 and Kα2). Input: DFT lattice parameters and positions (GGA-PBE).

Principal peaks in the range 10 to 90 degrees two-theta, low angle first:
| 2theta | I (rel.) |
| --- | --- |
| 17.12 | 9.9 |
| 32.91 | 100.0 |
| 34.64 | 21.1 |
| 39.85 | 30.6 |
| 53.81 | 23.9 |
| 57.62 | 10.3 |
| 60.98 | 15.1 |
| 67.97 | 24.4 |
| 69.01 | 11.2 |
| 88.82 | 11.0 |

Crystal structure
```
TmZrH
1.0
-2.262 2.262 15.539
2.262 -2.262 15.539
2.262 2.262 -15.539
Tm Zr H
6 6 6
Cartesian
0.000 0.000 2.471
0.000 0.000 7.764
0.000 0.000 12.995
0.000 0.000 18.083
0.000 0.000 23.314
0.000 0.000 28.608
2.262 0.000 0.000
2.262 0.000 5.348
2.262 0.000 10.191
0.000 2.262 0.000
0.000 2.262 5.348
0.000 2.262 10.191
2.262 0.000 2.088
0.000 0.000 5.474
2.262 0.000 13.451
0.000 2.262 2.088
0.000 0.000 25.605
0.000 2.262 13.451
```